Entry 1:
# RbTa2B
Computed powder diffraction line list, Cu Kα (weighted mean of Kα1 and Kα2). Input: a PBE-relaxed structure.

Most intense lines, 5° ≤ 2θ ≤ 70°, low angle first:
d [Å]  Position (°2θ)  I/Imax
5.569  15.9  45
3.410  26.1  13
2.908  30.7  100
2.784  32.1  69
2.411  37.3  19
2.213  40.8  13
1.856  49.1  37
1.705  53.8  39
1.471  63.2  13
1.454  64.0  29

Atomic structure:
a = 6.824 Å, b = 6.824 Å, c = 9.637 Å
α = 90.00°, β = 90.00°, γ = 90.00°
Space group I4_1/amd (No. 141, origin choice 2)
Inequivalent atoms, fractional coordinates:
Rb: 0.000 0.250 0.375 [4 per cell]
Ta: 0.000 0.000 0.000 [8 per cell]
B: 0.000 0.250 0.875 [4 per cell]



Entry 2:
# ThGe2IrPd2
Computed powder diffraction line list, Cu Kα (weighted mean of Kα1 and Kα2). Input: a PBE-relaxed structure.

Most intense lines, 5° ≤ 2θ ≤ 70°, low angle first:
d [Å]  Position (°2θ)  I/Imax
9.461  9.3  17
4.730  18.8  100
2.780  32.2  21
2.667  33.6  95
2.365  38.0  17
2.085  43.4  93
1.966  46.2  39
1.815  50.3  31
1.564  59.1  19
1.512  61.3  17

Atomic structure:
a = 3.931 Å, b = 3.931 Å, c = 18.921 Å
α = 90.00°, β = 90.00°, γ = 90.00°
Space group I4/mmm (No. 139)
Inequivalent atoms, fractional coordinates:
Th: 0.000 0.000 0.000 [2 per cell]
Ge: 0.000 0.000 0.167 [4 per cell]
Ir: 0.000 0.000 0.500 [2 per cell]
Pd: 0.000 0.500 0.250 [4 per cell]



Entry 3:
# HoScTe3
Computed powder diffraction line list, Cu Kα (weighted mean of Kα1 and Kα2). Input: a PBE-relaxed structure.

Most intense lines, 5° ≤ 2θ ≤ 70°, low angle first:
d [Å]  Position (°2θ)  I/Imax
8.505  10.4  96
3.022  29.6  39
2.974  30.0  55
2.957  30.2  100
2.934  30.5  53
2.913  30.7  38
2.679  33.5  66
2.598  34.5  43
2.592  34.6  42
2.422  37.1  36

Atomic structure:
a = 9.647 Å, b = 8.185 Å, c = 9.693 Å
α = 90.00°, β = 118.17°, γ = 90.00°
Space group P2_1/c (No. 14)
Inequivalent atoms, fractional coordinates:
Ho: 0.113 0.215 0.031 [4 per cell]
Sc: 0.298 0.617 0.911 [4 per cell]
Te: 0.022 0.019 0.700 [4 per cell]
Te: 0.245 0.638 0.602 [4 per cell]
Te: 0.375 0.221 0.433 [4 per cell]



Entry 4:
# LaPrY
Computed powder diffraction line list, Cu Kα (weighted mean of Kα1 and Kα2). Input: a PBE-relaxed structure.

Most intense lines, 5° ≤ 2θ ≤ 70°, low angle first:
d [Å]  Position (°2θ)  I/Imax
3.005  29.7  100
2.998  29.8  33
2.601  34.5  67
1.841  49.5  24
1.837  49.6  24
1.572  58.7  5
1.569  58.9  28
1.567  59.0  23
1.505  61.6  4
1.500  61.8  12

Atomic structure:
a = 3.675 Å, b = 6.382 Å, c = 9.716 Å
α = 96.14°, β = 100.89°, γ = 106.72°
Space group P-1 (No. 2)
Inequivalent atoms, fractional coordinates:
La: 0.083 0.248 0.413 [2 per cell]
Pr: 0.245 0.746 0.246 [2 per cell]
Y: 0.414 0.246 0.079 [2 per cell]



Entry 5:
# Dy2Cu2BRh4
Computed powder diffraction line list, Cu Kα (weighted mean of Kα1 and Kα2). Input: a PBE-relaxed structure.

Most intense lines, 5° ≤ 2θ ≤ 70°, low angle first:
d [Å]  Position (°2θ)  I/Imax
4.171  21.3  9
2.856  31.3  8
2.357  38.2  100
2.086  43.4  36
1.959  46.3  14
1.865  48.8  2
1.773  51.5  2
1.684  54.5  4
1.475  63.0  12
1.428  65.4  20

Atomic structure:
a = 5.899 Å, b = 5.899 Å, c = 7.836 Å
α = 90.00°, β = 90.00°, γ = 90.00°
Space group I4/mmm (No. 139)
Inequivalent atoms, fractional coordinates:
Dy: 0.000 0.500 0.250 [4 per cell]
Cu: 0.000 0.000 0.230 [4 per cell]
B: 0.000 0.000 0.500 [2 per cell]
Rh: 0.248 0.248 0.000 [8 per cell]



Entry 6:
# Li2CaRuO4
Computed powder diffraction line list, Cu Kα (weighted mean of Kα1 and Kα2). Input: a PBE-relaxed structure.

Most intense lines, 5° ≤ 2θ ≤ 70°, low angle first:
d [Å]  Position (°2θ)  I/Imax
4.745  18.7  13
3.937  22.6  100
2.571  34.9  22
2.554  35.1  17
2.372  37.9  20
2.163  41.8  35
1.896  48.0  25
1.738  52.7  13
1.599  57.7  21
1.530  60.5  10

Atomic structure:
a = 4.327 Å, b = 4.327 Å, c = 9.490 Å
α = 90.00°, β = 90.00°, γ = 90.00°
Space group I-4m2 (No. 119)
Inequivalent atoms, fractional coordinates:
Li: 0.000 0.000 0.000 [2 per cell]
Li: 0.000 0.500 0.250 [2 per cell]
Ca: 0.000 0.500 0.750 [2 per cell]
Ru: 0.000 0.000 0.500 [2 per cell]
O: 0.000 0.000 0.294 [4 per cell]
O: 0.000 0.500 0.003 [4 per cell]



Entry 7:
# RbSi2AgOs
Computed powder diffraction line list, Cu Kα (weighted mean of Kα1 and Kα2). Input: a PBE-relaxed structure.

Most intense lines, 5° ≤ 2θ ≤ 70°, low angle first:
d [Å]  Position (°2θ)  I/Imax
5.340  16.6  54
3.776  23.6  100
2.998  29.8  76
2.670  33.6  75
2.465  36.5  30
2.064  43.9  39
1.888  48.2  27
1.811  50.4  47
1.598  57.7  23
1.499  61.9  25

Atomic structure:
a = 5.340 Å, b = 5.340 Å, c = 4.929 Å
α = 90.00°, β = 90.00°, γ = 90.00°
Space group P4/mmm (No. 123)
Inequivalent atoms, fractional coordinates:
Rb: 0.000 0.000 0.000 [1 per cell]
Si: 0.000 0.500 0.000 [2 per cell]
Ag: 0.500 0.500 0.500 [1 per cell]
Os: 0.000 0.000 0.500 [1 per cell]



Entry 8:
# Sm3HoSc6
Computed powder diffraction line list, Cu Kα (weighted mean of Kα1 and Kα2). Input: a PBE-relaxed structure.

Most intense lines, 5° ≤ 2θ ≤ 70°, low angle first:
d [Å]  Position (°2θ)  I/Imax
4.952  17.9  93
3.570  24.9  26
2.981  30.0  93
2.959  30.2  49
2.816  31.8  37
2.697  33.2  100
2.663  33.7  38
2.585  34.7  32
2.507  35.8  29
1.952  46.5  33

Atomic structure:
a = 10.544 Å, b = 17.882 Å, c = 5.931 Å
α = 90.00°, β = 90.00°, γ = 90.00°
Space group Cmc2_1 (No. 36)
Inequivalent atoms, fractional coordinates:
Sm: 0.000 0.088 0.000 [4 per cell]
Sm: 0.177 0.397 0.403 [8 per cell]
Ho: 0.000 0.276 0.118 [4 per cell]
Sc: 0.000 0.193 0.565 [4 per cell]
Sc: 0.000 0.443 0.883 [4 per cell]
Sc: 0.184 0.059 0.431 [8 per cell]
Sc: 0.225 0.280 0.783 [8 per cell]



Entry 9:
# K3Pa3RhS8
Computed powder diffraction line list, Cu Kα (weighted mean of Kα1 and Kα2). Input: a PBE-relaxed structure.

Most intense lines, 5° ≤ 2θ ≤ 70°, low angle first:
d [Å]  Position (°2θ)  I/Imax
7.610  11.6  100
3.805  23.4  18
3.340  26.7  31
3.241  27.5  20
2.906  30.8  74
2.346  38.4  22
2.181  41.4  19
1.947  46.7  16
1.892  48.1  17
1.886  48.3  12

Atomic structure:
a = 13.473 Å, b = 7.814 Å, c = 8.830 Å
α = 90.00°, β = 120.47°, γ = 90.00°
Space group C2/m (No. 12)
Inequivalent atoms, fractional coordinates:
K: 0.000 0.000 0.000 [2 per cell]
K: 0.250 0.250 0.000 [4 per cell]
Pa: 0.000 0.500 0.500 [2 per cell]
Pa: 0.250 0.250 0.500 [4 per cell]
Rh: 0.000 0.000 0.500 [2 per cell]
S: 0.016 0.242 0.307 [8 per cell]
S: 0.222 0.000 0.690 [4 per cell]
S: 0.237 0.500 0.709 [4 per cell]



Entry 10:
# Rb8Hg3Au2
Computed powder diffraction line list, Cu Kα (weighted mean of Kα1 and Kα2). Input: a PBE-relaxed structure.

Most intense lines, 5° ≤ 2θ ≤ 70°, low angle first:
d [Å]  Position (°2θ)  I/Imax
5.306  16.7  50
3.463  25.7  28
3.258  27.4  33
3.061  29.2  100
2.765  32.4  11
2.372  37.9  23
2.003  45.3  12
1.841  49.5  23
1.764  51.8  11
1.552  59.6  13

Atomic structure:
a = 10.573 Å, b = 18.360 Å, c = 6.515 Å
α = 90.00°, β = 90.00°, γ = 90.00°
Space group Cmmm (No. 65)
Inequivalent atoms, fractional coordinates:
Rb: 0.000 0.107 0.000 [4 per cell]
Rb: 0.000 0.313 0.000 [4 per cell]
Rb: 0.217 0.378 0.500 [8 per cell]
Hg: 0.000 0.000 0.500 [2 per cell]
Hg: 0.146 0.500 0.000 [4 per cell]
Au: 0.000 0.221 0.500 [4 per cell]



Entry 11:
# La3PmPr4Te8
Computed powder diffraction line list, Cu Kα (weighted mean of Kα1 and Kα2). Input: a PBE-relaxed structure.

Most intense lines, 5° ≤ 2θ ≤ 70°, low angle first:
d [Å]  Position (°2θ)  I/Imax
3.714  24.0  1
3.213  27.8  100
2.275  39.6  38
2.269  39.7  38
1.857  49.1  21
1.849  49.3  7
1.607  57.4  13
1.439  64.8  18
1.435  65.0  18

Atomic structure:
a = 15.705 Å, b = 9.110 Å, c = 9.067 Å
α = 90.00°, β = 125.08°, γ = 90.00°
Space group C2/m (No. 12)
Inequivalent atoms, fractional coordinates:
La: 0.000 0.000 0.000 [2 per cell]
La: 0.250 0.250 0.500 [4 per cell]
Pm: 0.000 0.500 0.000 [2 per cell]
Pr: 0.000 0.000 0.500 [2 per cell]
Pr: 0.000 0.500 0.500 [2 per cell]
Pr: 0.250 0.250 0.000 [4 per cell]
Te: 0.001 0.252 0.752 [8 per cell]
Te: 0.248 0.500 0.247 [4 per cell]
Te: 0.249 0.500 0.751 [4 per cell]



Entry 12:
# AcSbO3
Computed powder diffraction line list, Cu Kα (weighted mean of Kα1 and Kα2). Input: a PBE-relaxed structure.

Most intense lines, 5° ≤ 2θ ≤ 70°, low angle first:
d [Å]  Position (°2θ)  I/Imax
4.407  20.2  20
3.347  26.6  100
3.119  28.6  40
2.929  30.5  60
2.896  30.9  26
2.151  42.0  18
2.122  42.6  52
1.747  52.4  15
1.734  52.8  26
1.692  54.2  17

Atomic structure:
a = 4.302 Å, b = 13.582 Å, c = 5.792 Å
α = 90.00°, β = 90.00°, γ = 90.00°
Space group Pbcm (No. 57)
Inequivalent atoms, fractional coordinates:
Ac: 0.247 0.084 0.250 [4 per cell]
Sb: 0.240 0.692 0.750 [4 per cell]
O: 0.099 0.250 0.000 [4 per cell]
O: 0.247 0.578 0.514 [8 per cell]